# Ti2Zn2Au3
Theoretical powder diffractogram, Cu Kα X-rays. Input: DFT lattice parameters and positions (PBE).
Kinematic intensities with the Lorentz-polarization factor, no thermal factor.

Structure:
```
Ti2Zn2Au3
1.0
4.6636 -1.9097 0.0000
4.6636 1.9097 0.0000
-0.6738 0.0000 6.6260
Ti Zn Au
2 2 3
Direct
0.1360 0.1360 0.4312
0.8640 0.8640 0.5688
0.4245 0.4245 0.2726
0.5755 0.5755 0.7274
0.0000 0.0000 0.0000
0.2823 0.2823 0.8285
0.7177 0.7177 0.1715
```

Peak list (10 most intense, 2θ from 10° to 90°, in order of rising 2θ)
13.36°, I = 62.2; 29.11°, I = 38.6; 31.56°, I = 18.8; 37.95°, I = 92.1; 38.84°, I = 100.0; 42.57°, I = 34.5; 43.57°, I = 29.6; 47.63°, I = 30.8; 65.77°, I = 18.7; 66.51°, I = 16.5

***

# Tb4Tm3Tl2
Theoretical powder diffractogram, Cu Kα X-rays. Input: DFT lattice parameters and positions (PBE).
Kinematic intensities with the Lorentz-polarization factor, no thermal factor.

Structure:
```
Tb4Tm3Tl2
1.0
7.2744 -6.0255 0.0000
7.2744 6.0255 0.0000
-1.8811 0.0000 6.2126
Tb Tm Tl
8 6 4
Direct
0.1423 0.4858 0.3615
0.1695 0.6957 0.9755
0.3043 0.8305 0.5245
0.4858 0.1423 0.8615
0.5142 0.8577 0.1385
0.6957 0.1695 0.4755
0.8305 0.3043 0.0245
0.8577 0.5142 0.6385
0.0599 0.1547 0.4627
0.1547 0.0599 0.9627
0.4995 0.5005 0.2500
0.5005 0.4995 0.7500
0.8453 0.9401 0.0373
0.9401 0.8453 0.5373
0.1920 0.3627 0.8628
0.3627 0.1920 0.3628
0.6373 0.8080 0.6372
0.8080 0.6373 0.1372
```

Peak list (10 most intense, 2θ from 10° to 90°, in order of rising 2θ)
29.41°, I = 43.9; 30.20°, I = 34.9; 31.63°, I = 33.0; 32.05°, I = 33.9; 32.16°, I = 100.0; 32.38°, I = 51.3; 32.60°, I = 54.5; 33.02°, I = 91.9; 33.94°, I = 85.3; 35.27°, I = 74.1

***

# Pm2Cd2Ge3
Theoretical powder diffractogram, Cu Kα X-rays. Input: DFT lattice parameters and positions (PBE).
Kinematic intensities with the Lorentz-polarization factor, no thermal factor.

Structure:
```
Pm2Cd2Ge3
1.0
-4.4122 4.4122 4.4122
4.4122 -4.4122 4.4122
4.4122 4.4122 -4.4122
Pm Cd Ge
4 4 6
Direct
0.0000 0.4720 0.5000
0.0280 0.0280 0.0280
0.4720 0.5000 0.0000
0.5000 0.0000 0.4720
0.0000 0.8736 0.5000
0.5000 0.0000 0.8736
0.6264 0.6264 0.6264
0.8736 0.5000 0.0000
0.2398 0.7500 0.9898
0.2500 0.5102 0.2602
0.2602 0.2500 0.5102
0.5102 0.2602 0.2500
0.7500 0.9898 0.2398
0.9898 0.2398 0.7500
```

Peak list (10 most intense, 2θ from 10° to 90°, in order of rising 2θ)
28.61°, I = 100.0; 32.07°, I = 70.7; 35.23°, I = 69.6; 38.16°, I = 61.2; 40.91°, I = 45.1; 46.00°, I = 21.0; 50.68°, I = 20.2; 52.91°, I = 32.7; 59.23°, I = 28.2; 70.83°, I = 43.0

***

# Y6Tl2Pb
Theoretical powder diffractogram, Cu Kα X-rays. Input: DFT lattice parameters and positions (PBE).
Kinematic intensities with the Lorentz-polarization factor, no thermal factor.

Structure:
```
Y6Tl2Pb
1.0
6.2382 0.0000 0.0000
0.0000 9.0533 0.0000
-5.3228 0.0000 9.7255
Y Tl Pb
12 4 2
Direct
0.0471 0.1642 0.4398
0.0471 0.3358 0.9398
0.3600 0.6841 0.4385
0.3600 0.8159 0.9385
0.4146 0.0324 0.3028
0.4146 0.4676 0.8028
0.5854 0.5324 0.1972
0.5854 0.9676 0.6972
0.6400 0.1841 0.0615
0.6400 0.3159 0.5615
0.9529 0.6642 0.0602
0.9529 0.8358 0.5602
0.1789 0.1256 0.7556
0.1789 0.3744 0.2556
0.8211 0.6256 0.7444
0.8211 0.8744 0.2444
0.0000 0.0000 0.0000
0.0000 0.5000 0.5000
```

Peak list (10 most intense, 2θ from 10° to 90°, in order of rising 2θ)
16.20°, I = 27.5; 24.25°, I = 28.6; 26.50°, I = 28.2; 28.75°, I = 34.7; 31.47°, I = 53.9; 32.62°, I = 62.4; 33.00°, I = 100.0; 33.87°, I = 49.9; 34.02°, I = 48.2; 62.31°, I = 29.0

***

# CsKNp2Cl8
Theoretical powder diffractogram, Cu Kα X-rays. Input: DFT lattice parameters and positions (PBE).
Kinematic intensities with the Lorentz-polarization factor, no thermal factor.

Structure:
```
CsKNp2Cl8
1.0
7.6640 0.0000 0.0000
-3.8320 6.6372 0.0000
0.0000 0.0000 8.7007
Cs K Np Cl
1 1 2 8
Direct
0.0000 0.0000 0.0000
0.0000 0.0000 0.5000
0.3333 0.6667 0.4242
0.6667 0.3333 0.5758
0.0517 0.3816 0.6416
0.3299 0.9483 0.6416
0.3333 0.6667 0.1226
0.3816 0.3299 0.3584
0.6184 0.6701 0.6416
0.6667 0.3333 0.8774
0.6701 0.0517 0.3584
0.9483 0.6184 0.3584
```

Peak list (10 most intense, 2θ from 10° to 90°, in order of rising 2θ)
10.17°, I = 73.3; 16.80°, I = 100.0; 23.21°, I = 75.5; 28.79°, I = 32.7; 31.10°, I = 47.4; 33.73°, I = 31.3; 37.30°, I = 32.3; 40.79°, I = 34.3; 41.34°, I = 22.3; 47.95°, I = 28.6

***

# CaZn9Au2
Theoretical powder diffractogram, Cu Kα X-rays. Input: DFT lattice parameters and positions (PBE).
Kinematic intensities with the Lorentz-polarization factor, no thermal factor.

Structure:
```
CaZn9Au2
1.0
-5.4084 5.4084 3.4989
5.4084 -5.4084 3.4989
5.4084 5.4084 -3.4989
Ca Zn Au
2 18 4
Direct
0.3750 0.6250 0.7500
0.6250 0.3750 0.2500
0.1250 0.8750 0.2500
0.1325 0.5524 0.3377
0.1325 0.7947 0.5800
0.2053 0.2853 0.3377
0.2053 0.8675 0.9200
0.2853 0.2053 0.8377
0.2853 0.4476 0.0800
0.4476 0.2853 0.5800
0.4476 0.8675 0.1623
0.5524 0.1325 0.8377
0.5524 0.7147 0.4200
0.7147 0.5524 0.9200
0.7147 0.7947 0.1623
0.7947 0.1325 0.0800
0.7947 0.7147 0.6623
0.8675 0.2053 0.4200
0.8675 0.4476 0.6623
0.8750 0.1250 0.7500
0.0000 0.0000 0.0000
0.0000 0.0000 0.5000
0.0000 0.5000 0.0000
0.5000 0.0000 0.5000
```

Peak list (10 most intense, 2θ from 10° to 90°, in order of rising 2θ)
15.08°, I = 67.2; 23.26°, I = 33.7; 30.43°, I = 22.7; 32.47°, I = 44.0; 36.74°, I = 34.1; 37.17°, I = 30.4; 39.52°, I = 29.1; 43.05°, I = 46.9; 43.80°, I = 100.0; 45.60°, I = 72.2

***

# Rb3TbO3
Theoretical powder diffractogram, Cu Kα X-rays. Input: DFT lattice parameters and positions (PBE).
Kinematic intensities with the Lorentz-polarization factor, no thermal factor.

Structure:
```
Rb3TbO3
1.0
7.8380 0.0000 0.0000
0.0000 7.4571 0.0000
-0.7205 0.0000 12.0008
Rb Tb O
12 4 12
Direct
0.0794 0.1255 0.1634
0.0794 0.3745 0.6634
0.3528 0.1559 0.9206
0.3528 0.3441 0.4206
0.3817 0.6925 0.8110
0.3817 0.8075 0.3110
0.6183 0.1925 0.6890
0.6183 0.3075 0.1890
0.6472 0.6559 0.5794
0.6472 0.8441 0.0794
0.9206 0.6255 0.3366
0.9206 0.8745 0.8366
0.1601 0.5927 0.0713
0.1601 0.9073 0.5713
0.8399 0.0927 0.4287
0.8399 0.4073 0.9287
0.1194 0.0491 0.4095
0.1194 0.4509 0.9095
0.2599 0.6416 0.5553
0.2599 0.8584 0.0553
0.2988 0.0521 0.6991
0.2988 0.4479 0.1991
0.7012 0.5521 0.8009
0.7012 0.9479 0.3009
0.7401 0.1416 0.9447
0.7401 0.3584 0.4447
0.8806 0.5491 0.0905
0.8806 0.9509 0.5905
```

Peak list (10 most intense, 2θ from 10° to 90°, in order of rising 2θ)
17.74°, I = 19.7; 26.45°, I = 32.0; 27.19°, I = 43.4; 27.71°, I = 100.0; 27.96°, I = 54.7; 29.07°, I = 45.5; 32.16°, I = 52.4; 36.86°, I = 23.0; 41.82°, I = 17.9; 49.32°, I = 17.3